For AlO2, a DFT-relaxed cell (GGA-PBE, Alexandria) gives the simulated PXRD pattern in this record (Cu Kα X-rays).
Neutral-atom scattering factors, no anomalous dispersion.

Top 10 peaks for 2θ = 10–90°, in order of rising 2θ:
- hkl 2 0 0, 16.52 deg, intensity 44
- hkl 1 0 1, 20.80 deg, intensity 100
- hkl 3 0 1, 31.54 deg, intensity 30
- hkl 2 1 0, 34.33 deg, intensity 25
- hkl 0 1 1, 35.68 deg, intensity 39
- hkl 1 1 1, 36.68 deg, intensity 24
- hkl 5 0 1, 46.58 deg, intensity 24
- hkl 4 1 1, 49.67 deg, intensity 15
- hkl 4 1 2, 61.14 deg, intensity 18
- hkl 1 1 3, 68.70 deg, intensity 15

```
AlO2
1.0
10.734 0.000 0.000
0.000 2.991 0.000
0.000 0.000 4.656
Al O
4 8
Cartesian
1.871 0.748 0.032
3.496 2.243 2.360
7.238 0.748 2.296
8.862 2.243 4.624
0.246 0.748 0.747
2.466 2.243 3.882
2.901 0.748 1.554
5.121 2.243 3.075
5.613 0.748 1.581
7.833 2.243 3.102
8.268 0.748 0.774
10.488 2.243 3.909
```